[1]
Diffraction record for PrGa11Co. The powder X-ray diffraction pattern is theoretical, not measured: it uses a crystal structure in Alexandria, relaxed with PBE and Cu Kα (weighted mean of Kα1 and Kα2).
Peak positions follow from Bragg's law for the DFT cell and can differ from measured ones.

```
data_PrGa11Co
_chemical_formula_sum 'Pr1 Ga11 Co1'
_symmetry_space_group_name_H-M 'P 1'
_symmetry_Int_Tables_number 1
_cell_length_a 6.710
_cell_length_b 6.710
_cell_length_c 7.594
_cell_angle_alpha 95.68
_cell_angle_beta 95.68
_cell_angle_gamma 134.16
loop_
_symmetry_equiv_pos_as_xyz
'x,y,z'
loop_
_atom_site_label
_atom_site_type_symbol
_atom_site_fract_x
_atom_site_fract_y
_atom_site_fract_z
_atom_site_occupancy
Pr1 Pr 0.000 0.000 0.000 1
Ga1 Ga 0.000 0.000 0.500 1
Ga2 Ga 0.000 0.500 0.000 1
Ga3 Ga 0.047 0.388 0.371 1
Ga4 Ga 0.270 0.484 0.764 1
Ga5 Ga 0.388 0.047 0.371 1
Ga6 Ga 0.484 0.270 0.764 1
Ga7 Ga 0.500 0.000 0.000 1
Ga8 Ga 0.516 0.730 0.236 1
Ga9 Ga 0.612 0.953 0.629 1
Ga10 Ga 0.730 0.516 0.236 1
Ga11 Ga 0.953 0.612 0.629 1
Co1 Co 0.500 0.500 0.500 1
```

The 6 most intense peaks (10° ≤ 2θ ≤ 90°), by angle:
2θ (°)	I_rel
34.12	38
34.43	88
37.23	43
38.06	100
38.49	66
40.59	78

***

[2]
Diffraction record for Sm4TePd2. The powder X-ray diffraction pattern is theoretical, not measured: it uses a crystal structure in Alexandria, relaxed with PBE and Cu Kα (weighted mean of Kα1 and Kα2).
Peak positions follow from Bragg's law for the DFT cell and can differ from measured ones.

```
data_Sm4TePd2
_chemical_formula_sum 'Sm8 Te2 Pd4'
_symmetry_space_group_name_H-M 'P 1'
_symmetry_Int_Tables_number 1
_cell_length_a 8.781
_cell_length_b 8.781
_cell_length_c 8.796
_cell_angle_alpha 119.85
_cell_angle_beta 119.85
_cell_angle_gamma 90.10
loop_
_symmetry_equiv_pos_as_xyz
'x,y,z'
loop_
_atom_site_label
_atom_site_type_symbol
_atom_site_fract_x
_atom_site_fract_y
_atom_site_fract_z
_atom_site_occupancy
Sm1 Sm 0.197 0.232 0.464 1
Sm2 Sm 0.232 0.197 0.964 1
Sm3 Sm 0.232 0.767 0.964 1
Sm4 Sm 0.233 0.768 0.536 1
Sm5 Sm 0.767 0.232 0.464 1
Sm6 Sm 0.768 0.233 0.036 1
Sm7 Sm 0.768 0.803 0.036 1
Sm8 Sm 0.803 0.768 0.536 1
Te1 Te 0.375 0.625 0.250 1
Te2 Te 0.625 0.375 0.750 1
Pd1 Pd 0.000 0.000 0.000 1
Pd2 Pd 0.000 0.000 0.500 1
Pd3 Pd 0.000 0.500 0.500 1
Pd4 Pd 0.500 0.000 0.000 1
```

The 6 most intense peaks (10° ≤ 2θ ≤ 90°), by angle:
2θ (°)	I_rel
12.32	40
24.79	63
28.76	77
37.62	47
41.00	100
41.12	50

***

[3]
Diffraction record for KAcCdI6. The powder X-ray diffraction pattern is theoretical, not measured: it uses a crystal structure in Alexandria, relaxed with PBE and Cu Kα (weighted mean of Kα1 and Kα2).
Peak positions follow from Bragg's law for the DFT cell and can differ from measured ones.

```
data_KAcCdI6
_chemical_formula_sum 'K2 Ac2 Cd2 I12'
_symmetry_space_group_name_H-M 'P 1'
_symmetry_Int_Tables_number 1
_cell_length_a 8.124
_cell_length_b 8.124
_cell_length_c 15.543
_cell_angle_alpha 90.00
_cell_angle_beta 90.00
_cell_angle_gamma 120.00
loop_
_symmetry_equiv_pos_as_xyz
'x,y,z'
loop_
_atom_site_label
_atom_site_type_symbol
_atom_site_fract_x
_atom_site_fract_y
_atom_site_fract_z
_atom_site_occupancy
K1 K 0.000 0.000 0.000 1
K2 K 0.000 0.000 0.500 1
Ac1 Ac 0.333 0.667 0.250 1
Ac2 Ac 0.667 0.333 0.750 1
Cd1 Cd 0.333 0.667 0.750 1
Cd2 Cd 0.667 0.333 0.250 1
I1 I 0.022 0.374 0.633 1
I2 I 0.022 0.648 0.867 1
I3 I 0.352 0.374 0.867 1
I4 I 0.352 0.978 0.633 1
I5 I 0.374 0.022 0.133 1
I6 I 0.374 0.352 0.367 1
I7 I 0.626 0.648 0.633 1
I8 I 0.626 0.978 0.867 1
I9 I 0.648 0.022 0.367 1
I10 I 0.648 0.626 0.133 1
I11 I 0.978 0.352 0.133 1
I12 I 0.978 0.626 0.367 1
```

The 6 most intense peaks (10° ≤ 2θ ≤ 90°), by angle:
2θ (°)	I_rel
11.39	30
17.00	26
24.73	100
31.87	63
38.38	37
41.34	29

***

[4]
Diffraction record for TbDy3Er6Tm2. The powder X-ray diffraction pattern is theoretical, not measured: it uses a crystal structure in Alexandria, relaxed with PBE and Cu Kα (weighted mean of Kα1 and Kα2).
Peak positions follow from Bragg's law for the DFT cell and can differ from measured ones.

```
data_TbDy3Er6Tm2
_chemical_formula_sum 'Tb1 Dy3 Er6 Tm2'
_symmetry_space_group_name_H-M 'P 1'
_symmetry_Int_Tables_number 1
_cell_length_a 6.073
_cell_length_b 6.073
_cell_length_c 11.625
_cell_angle_alpha 94.98
_cell_angle_beta 94.98
_cell_angle_gamma 119.94
loop_
_symmetry_equiv_pos_as_xyz
'x,y,z'
loop_
_atom_site_label
_atom_site_type_symbol
_atom_site_fract_x
_atom_site_fract_y
_atom_site_fract_z
_atom_site_occupancy
Tb1 Tb 0.000 0.000 0.000 1
Dy1 Dy 0.167 0.833 0.500 1
Dy2 Dy 0.500 0.500 0.500 1
Dy3 Dy 0.833 0.167 0.500 1
Er1 Er 0.083 0.417 0.249 1
Er2 Er 0.250 0.250 0.751 1
Er3 Er 0.417 0.083 0.249 1
Er4 Er 0.583 0.917 0.751 1
Er5 Er 0.750 0.750 0.249 1
Er6 Er 0.917 0.583 0.751 1
Tm1 Tm 0.333 0.667 0.000 1
Tm2 Tm 0.667 0.333 0.000 1
```

The 6 most intense peaks (10° ≤ 2θ ≤ 90°), by angle:
2θ (°)	I_rel
31.24	100
36.23	51
52.17	36
62.06	36
65.16	12
85.30	13

***

- Which formula does entry 2 have?
  Sm4TePd2